Calculated X-ray diffraction stick pattern of CeCuGe for Cu Ka, from DFT lattice parameters and positions (GGA-PBE).

Structural model:
```
data_CeCuGe
_chemical_formula_sum 'Ce1 Cu1 Ge1'
_cell_length_a 4.2015
_cell_length_b 4.2015
_cell_length_c 4.0431
_cell_angle_alpha 90.00
_cell_angle_beta 90.00
_cell_angle_gamma 120.00
_symmetry_space_group_name_H-M 'P 1'
_symmetry_Int_Tables_number 1
_symmetry_space_group_name_Hall 'P 1'
loop_
_atom_site_label
_atom_site_type_symbol
_atom_site_fract_x
_atom_site_fract_y
_atom_site_fract_z
Ce1 Ce 0.0000 0.0000 0.0000
Cu1 Cu 0.3333 0.6667 0.5000
Ge1 Ge 0.6667 0.3333 0.5000
```

Main lines, in order of rising 2θ (2θ from 10° to 90°):
d [Å]	I (rel.)
2.705	100
2.101	43
2.022	13
1.659	23
1.457	26
1.302	20


Calculated X-ray diffraction stick pattern of Li3NbF6 for Cu Ka, from DFT lattice parameters and positions (GGA-PBE).

Structural model:
```
data_Li3NbF6
_chemical_formula_sum 'Li3 Nb1 F6'
_cell_length_a 5.7214
_cell_length_b 5.7214
_cell_length_c 5.7214
_cell_angle_alpha 60.00
_cell_angle_beta 60.00
_cell_angle_gamma 60.00
_symmetry_space_group_name_H-M 'P 1'
_symmetry_Int_Tables_number 1
_symmetry_space_group_name_Hall 'P 1'
loop_
_atom_site_label
_atom_site_type_symbol
_atom_site_fract_x
_atom_site_fract_y
_atom_site_fract_z
Li1 Li 0.0000 0.0000 0.0000
Li2 Li 0.2500 0.2500 0.2500
Li3 Li 0.7500 0.7500 0.7500
Nb1 Nb 0.5000 0.5000 0.5000
F1 F 0.2428 0.2428 0.7572
F2 F 0.2428 0.7572 0.2428
F3 F 0.2428 0.7572 0.7572
F4 F 0.7572 0.2428 0.2428
F5 F 0.7572 0.2428 0.7572
F6 F 0.7572 0.7572 0.2428
```

Main lines, in order of rising 2θ (2θ from 10° to 90°):
d [Å]	I (rel.)
4.672	77
4.046	100
2.440	50
2.023	41
1.856	25
1.809	37


Calculated X-ray diffraction stick pattern of Ba3BiSb for Cu Ka, from DFT lattice parameters and positions (GGA-PBE).

Structural model:
```
data_Ba3BiSb
_chemical_formula_sum 'Ba3 Bi1 Sb1'
_cell_length_a 6.5376
_cell_length_b 6.5376
_cell_length_c 6.5376
_cell_angle_alpha 90.00
_cell_angle_beta 90.00
_cell_angle_gamma 90.00
_symmetry_space_group_name_H-M 'P 1'
_symmetry_Int_Tables_number 1
_symmetry_space_group_name_Hall 'P 1'
loop_
_atom_site_label
_atom_site_type_symbol
_atom_site_fract_x
_atom_site_fract_y
_atom_site_fract_z
Ba1 Ba 0.0000 0.0000 0.5000
Ba2 Ba 0.0000 0.5000 0.0000
Ba3 Ba 0.5000 0.0000 0.0000
Bi1 Bi 0.5000 0.5000 0.5000
Sb1 Sb 0.0000 0.0000 0.0000
```

Main lines, in order of rising 2θ (2θ from 10° to 90°):
d [Å]	I (rel.)
4.623	33
3.775	84
3.269	100
2.311	78
1.971	43
1.462	37


Calculated X-ray diffraction stick pattern of ZrNbP for Cu Ka, from DFT lattice parameters and positions (GGA-PBE).

Structural model:
```
data_ZrNbP
_chemical_formula_sum 'Zr4 Nb4 P4'
_cell_length_a 6.9124
_cell_length_b 3.5961
_cell_length_c 8.3373
_cell_angle_alpha 90.00
_cell_angle_beta 90.00
_cell_angle_gamma 90.00
_symmetry_space_group_name_H-M 'P 1'
_symmetry_Int_Tables_number 1
_symmetry_space_group_name_Hall 'P 1'
loop_
_atom_site_label
_atom_site_type_symbol
_atom_site_fract_x
_atom_site_fract_y
_atom_site_fract_z
Zr1 Zr 0.0342 0.2500 0.1688
Zr2 Zr 0.4658 0.7500 0.6688
Zr3 Zr 0.5342 0.2500 0.3312
Zr4 Zr 0.9658 0.7500 0.8312
Nb1 Nb 0.1392 0.2500 0.5596
Nb2 Nb 0.3608 0.7500 0.0596
Nb3 Nb 0.6392 0.2500 0.9404
Nb4 Nb 0.8608 0.7500 0.4404
P1 P 0.2388 0.7500 0.3576
P2 P 0.2612 0.2500 0.8576
P3 P 0.7388 0.7500 0.1424
P4 P 0.7612 0.2500 0.6424
```

Main lines, in order of rising 2θ (2θ from 10° to 90°):
d [Å]	I (rel.)
2.579	48
2.533	100
2.492	53
2.388	61
2.221	32
1.798	28


Calculated X-ray diffraction stick pattern of MgZn2CuAs2O8 for Cu Ka, from DFT lattice parameters and positions (GGA-PBE).

Structural model:
```
data_MgZn2CuAs2O8
_chemical_formula_sum 'Mg1 Zn2 Cu1 As2 O8'
_cell_length_a 5.3548
_cell_length_b 5.4879
_cell_length_c 8.1551
_cell_angle_alpha 73.30
_cell_angle_beta 81.48
_cell_angle_gamma 65.71
_symmetry_space_group_name_H-M 'P 1'
_symmetry_Int_Tables_number 1
_symmetry_space_group_name_Hall 'P 1'
loop_
_atom_site_label
_atom_site_type_symbol
_atom_site_fract_x
_atom_site_fract_y
_atom_site_fract_z
Mg1 Mg 0.0000 0.0000 0.0000
Zn1 Zn 0.2435 0.2658 0.2513
Zn2 Zn 0.7565 0.7342 0.7487
Cu1 Cu 0.5000 0.5000 0.5000
As1 As 0.1332 0.1473 0.6838
As2 As 0.8668 0.8527 0.3162
O1 O 0.0341 0.3621 0.8287
O2 O 0.1571 0.9518 0.2489
O3 O 0.2886 0.2992 0.4943
O4 O 0.3661 0.8598 0.8229
O5 O 0.6339 0.1402 0.1771
O6 O 0.7114 0.7008 0.5057
O7 O 0.8429 0.0482 0.7511
O8 O 0.9659 0.6379 0.1713
```

Main lines, in order of rising 2θ (2θ from 10° to 90°):
d [Å]	I (rel.)
7.807	83
3.903	54
3.498	55
2.915	100
2.724	58
2.630	62


Calculated X-ray diffraction stick pattern of CeTlP2S6 for Cu Ka, from DFT lattice parameters and positions (GGA-PBE).

Structural model:
```
data_CeTlP2S6
_chemical_formula_sum 'Ce4 Tl4 P8 S24'
_cell_length_a 12.1887
_cell_length_b 7.5466
_cell_length_c 11.4717
_cell_angle_alpha 90.00
_cell_angle_beta 109.47
_cell_angle_gamma 90.00
_symmetry_space_group_name_H-M 'P 1'
_symmetry_Int_Tables_number 1
_symmetry_space_group_name_Hall 'P 1'
loop_
_atom_site_label
_atom_site_type_symbol
_atom_site_fract_x
_atom_site_fract_y
_atom_site_fract_z
Ce1 Ce 0.1477 0.1065 0.4022
Ce2 Ce 0.1477 0.3935 0.9022
Ce3 Ce 0.8523 0.6065 0.0978
Ce4 Ce 0.8523 0.8935 0.5978
Tl1 Tl 0.3733 0.5910 0.6256
Tl2 Tl 0.3733 0.9090 0.1256
Tl3 Tl 0.6267 0.0910 0.8744
Tl4 Tl 0.6267 0.4090 0.3744
P1 P 0.1721 0.6004 0.2449
P2 P 0.1721 0.8996 0.7449
P3 P 0.2878 0.1217 0.7287
P4 P 0.2878 0.3783 0.2287
P5 P 0.7122 0.6217 0.7713
P6 P 0.7122 0.8783 0.2713
P7 P 0.8279 0.1004 0.2551
P8 P 0.8279 0.3996 0.7551
S1 S 0.0550 0.0176 0.8139
S2 S 0.0550 0.4824 0.3139
S3 S 0.0897 0.6854 0.0681
S4 S 0.0897 0.8146 0.5681
S5 S 0.1718 0.1924 0.1337
S6 S 0.1718 0.3076 0.6337
S7 S 0.2756 0.7129 0.8551
S8 S 0.2756 0.7871 0.3551
S9 S 0.3670 0.2109 0.9034
S10 S 0.3670 0.2891 0.4034
S11 S 0.3812 0.0270 0.6275
S12 S 0.3812 0.4730 0.1275
S13 S 0.6188 0.5270 0.8725
S14 S 0.6188 0.9730 0.3725
S15 S 0.6330 0.7109 0.5966
S16 S 0.6330 0.7891 0.0966
S17 S 0.7244 0.2129 0.6449
S18 S 0.7244 0.2871 0.1449
S19 S 0.8282 0.6924 0.3663
S20 S 0.8282 0.8076 0.8663
S21 S 0.9103 0.1854 0.4319
S22 S 0.9103 0.3146 0.9319
S23 S 0.9450 0.5176 0.6861
S24 S 0.9450 0.9824 0.1861
```

Main lines, in order of rising 2θ (2θ from 10° to 90°):
d [Å]	I (rel.)
5.061	74
4.821	61
3.577	48
3.514	100
3.411	95
2.477	48


Calculated X-ray diffraction stick pattern of BaO for Cu Ka, from DFT lattice parameters and positions (GGA-PBE).

Structural model:
```
data_BaO
_chemical_formula_sum 'Ba2 O2'
_cell_length_a 4.7592
_cell_length_b 4.7592
_cell_length_c 3.9514
_cell_angle_alpha 90.00
_cell_angle_beta 90.00
_cell_angle_gamma 90.00
_symmetry_space_group_name_H-M 'P 1'
_symmetry_Int_Tables_number 1
_symmetry_space_group_name_Hall 'P 1'
loop_
_atom_site_label
_atom_site_type_symbol
_atom_site_fract_x
_atom_site_fract_y
_atom_site_fract_z
Ba1 Ba 0.2500 0.2500 0.2275
Ba2 Ba 0.7500 0.7500 0.7725
O1 O 0.2500 0.7500 0.5000
O2 O 0.7500 0.2500 0.5000
```

Main lines, in order of rising 2θ (2θ from 10° to 90°):
d [Å]	I (rel.)
3.365	50
3.040	100
2.380	33
1.874	49
1.704	21
1.252	13


Calculated X-ray diffraction stick pattern of KHfNbBiO6 for Cu Ka, from DFT lattice parameters and positions (GGA-PBE).

Structural model:
```
data_KHfNbBiO6
_chemical_formula_sum 'K1 Hf1 Nb1 Bi1 O6'
_cell_length_a 5.8097
_cell_length_b 5.8097
_cell_length_c 5.8097
_cell_angle_alpha 60.00
_cell_angle_beta 60.00
_cell_angle_gamma 60.00
_symmetry_space_group_name_H-M 'P 1'
_symmetry_Int_Tables_number 1
_symmetry_space_group_name_Hall 'P 1'
loop_
_atom_site_label
_atom_site_type_symbol
_atom_site_fract_x
_atom_site_fract_y
_atom_site_fract_z
K1 K 0.0000 0.0000 0.0000
Hf1 Hf 0.7500 0.7500 0.7500
Nb1 Nb 0.2500 0.2500 0.2500
Bi1 Bi 0.5000 0.5000 0.5000
O1 O 0.0037 0.0037 0.4963
O2 O 0.0037 0.4963 0.0037
O3 O 0.0037 0.4963 0.4963
O4 O 0.4963 0.0037 0.0037
O5 O 0.4963 0.0037 0.4963
O6 O 0.4963 0.4963 0.0037
```

Main lines, in order of rising 2θ (2θ from 10° to 90°):
d [Å]	I (rel.)
4.744	30
2.905	100
2.477	19
2.054	30
1.677	41
1.098	22


Calculated X-ray diffraction stick pattern of CeMg7 for Cu Ka, from DFT lattice parameters and positions (GGA-PBE).

Structural model:
```
data_CeMg7
_chemical_formula_sum 'Ce1 Mg7'
_cell_length_a 6.7554
_cell_length_b 6.7554
_cell_length_c 5.2072
_cell_angle_alpha 90.00
_cell_angle_beta 90.00
_cell_angle_gamma 120.00
_symmetry_space_group_name_H-M 'P 1'
_symmetry_Int_Tables_number 1
_symmetry_space_group_name_Hall 'P 1'
loop_
_atom_site_label
_atom_site_type_symbol
_atom_site_fract_x
_atom_site_fract_y
_atom_site_fract_z
Ce1 Ce 0.0000 0.0000 0.0000
Mg1 Mg 0.3333 0.6667 0.5000
Mg2 Mg 0.3403 0.1702 0.5000
Mg3 Mg 0.5040 0.0080 0.0000
Mg4 Mg 0.5040 0.4960 0.0000
Mg5 Mg 0.8298 0.1702 0.5000
Mg6 Mg 0.8298 0.6597 0.5000
Mg7 Mg 0.9920 0.4960 0.0000
```

Main lines, in order of rising 2θ (2θ from 10° to 90°):
d [Å]	I (rel.)
5.850	60
3.890	50
2.925	32
2.834	22
2.604	23
2.550	100


Calculated X-ray diffraction stick pattern of Mg2Cd for Cu Ka, from DFT lattice parameters and positions (GGA-PBE).

Structural model:
```
data_Mg2Cd
_chemical_formula_sum 'Mg8 Cd4'
_cell_length_a 11.5937
_cell_length_b 3.1981
_cell_length_c 7.3835
_cell_angle_alpha 90.00
_cell_angle_beta 105.07
_cell_angle_gamma 90.00
_symmetry_space_group_name_H-M 'P 1'
_symmetry_Int_Tables_number 1
_symmetry_space_group_name_Hall 'P 1'
loop_
_atom_site_label
_atom_site_type_symbol
_atom_site_fract_x
_atom_site_fract_y
_atom_site_fract_z
Mg1 Mg 0.1380 0.0000 0.0273
Mg2 Mg 0.1911 0.0000 0.6365
Mg3 Mg 0.3089 0.5000 0.3635
Mg4 Mg 0.3620 0.5000 0.9727
Mg5 Mg 0.6380 0.5000 0.0273
Mg6 Mg 0.6911 0.5000 0.6365
Mg7 Mg 0.8089 0.0000 0.3635
Mg8 Mg 0.8620 0.0000 0.9727
Cd1 Cd 0.0290 0.5000 0.3039
Cd2 Cd 0.4710 0.0000 0.6961
Cd3 Cd 0.5290 0.0000 0.3039
Cd4 Cd 0.9710 0.5000 0.6961
```

Main lines, in order of rising 2θ (2θ from 10° to 90°):
d [Å]	I (rel.)
5.598	100
3.075	51
2.546	56
2.428	79
2.415	74
2.402	35


Calculated X-ray diffraction stick pattern of KPPbS4 for Cu Ka, from DFT lattice parameters and positions (GGA-PBE).

Structural model:
```
data_KPPbS4
_chemical_formula_sum 'K4 P4 Pb4 S16'
_cell_length_a 17.1137
_cell_length_b 6.7081
_cell_length_c 6.5685
_cell_angle_alpha 90.00
_cell_angle_beta 90.00
_cell_angle_gamma 90.00
_symmetry_space_group_name_H-M 'P 1'
_symmetry_Int_Tables_number 1
_symmetry_space_group_name_Hall 'P 1'
loop_
_atom_site_label
_atom_site_type_symbol
_atom_site_fract_x
_atom_site_fract_y
_atom_site_fract_z
K1 K 0.2090 0.2500 0.0009
K2 K 0.2910 0.7500 0.5009
K3 K 0.7090 0.2500 0.4991
K4 K 0.7910 0.7500 0.9991
P1 P 0.0989 0.7500 0.2181
P2 P 0.4011 0.2500 0.7181
P3 P 0.5989 0.7500 0.2819
P4 P 0.9011 0.2500 0.7819
Pb1 Pb 0.0202 0.7500 0.7140
Pb2 Pb 0.4798 0.2500 0.2140
Pb3 Pb 0.5202 0.7500 0.7860
Pb4 Pb 0.9798 0.2500 0.2860
S1 S 0.0193 0.2500 0.8474
S2 S 0.1234 0.5050 0.3928
S3 S 0.1234 0.9950 0.3928
S4 S 0.1644 0.7500 0.9584
S5 S 0.3356 0.2500 0.4584
S6 S 0.3766 0.0050 0.8928
S7 S 0.3766 0.4950 0.8928
S8 S 0.4807 0.7500 0.3474
S9 S 0.5193 0.2500 0.6526
S10 S 0.6234 0.5050 0.1072
S11 S 0.6234 0.9950 0.1072
S12 S 0.6644 0.7500 0.5416
S13 S 0.8356 0.2500 0.0416
S14 S 0.8766 0.0050 0.6072
S15 S 0.8766 0.4950 0.6072
S16 S 0.9807 0.7500 0.1526
```

Main lines, in order of rising 2θ (2θ from 10° to 90°):
d [Å]	I (rel.)
8.557	100
4.693	31
4.115	48
3.162	33
3.066	33
2.642	34


Calculated X-ray diffraction stick pattern of K4SiO4 for Cu Ka, from DFT lattice parameters and positions (GGA-PBE).

Structural model:
```
data_K4SiO4
_chemical_formula_sum 'K16 Si4 O16'
_cell_length_a 10.4777
_cell_length_b 6.5162
_cell_length_c 10.4717
_cell_angle_alpha 90.00
_cell_angle_beta 112.17
_cell_angle_gamma 90.00
_symmetry_space_group_name_H-M 'P 1'
_symmetry_Int_Tables_number 1
_symmetry_space_group_name_Hall 'P 1'
loop_
_atom_site_label
_atom_site_type_symbol
_atom_site_fract_x
_atom_site_fract_y
_atom_site_fract_z
K1 K 0.0601 0.0934 0.1945
K2 K 0.0601 0.4066 0.6945
K3 K 0.1575 0.6105 0.0868
K4 K 0.1575 0.8895 0.5868
K5 K 0.3663 0.6620 0.8902
K6 K 0.3663 0.8380 0.3902
K7 K 0.4267 0.1842 0.7967
K8 K 0.4267 0.3158 0.2967
K9 K 0.5733 0.6842 0.7033
K10 K 0.5733 0.8158 0.2033
K11 K 0.6337 0.1620 0.6098
K12 K 0.6337 0.3380 0.1098
K13 K 0.8425 0.1105 0.4132
K14 K 0.8425 0.3895 0.9132
K15 K 0.9399 0.5934 0.3055
K16 K 0.9399 0.9066 0.8055
Si1 Si 0.2427 0.1315 0.9911
Si2 Si 0.2427 0.3685 0.4911
Si3 Si 0.7573 0.6315 0.5089
Si4 Si 0.7573 0.8685 0.0089
O1 O 0.0913 0.2391 0.9690
O2 O 0.0913 0.2609 0.4690
O3 O 0.2233 0.5019 0.3489
O4 O 0.2233 0.9981 0.8489
O5 O 0.2966 0.5220 0.6302
O6 O 0.2966 0.9780 0.1302
O7 O 0.3600 0.1823 0.5157
O8 O 0.3600 0.3177 0.0157
O9 O 0.6400 0.6823 0.9843
O10 O 0.6400 0.8177 0.4843
O11 O 0.7034 0.0220 0.8698
O12 O 0.7034 0.4780 0.3698
O13 O 0.7767 0.0019 0.1511
O14 O 0.7767 0.4981 0.6511
O15 O 0.9087 0.7391 0.5310
O16 O 0.9087 0.7609 0.0310
```

Main lines, in order of rising 2θ (2θ from 10° to 90°):
d [Å]	I (rel.)
2.967	74
2.922	39
2.846	79
2.410	100
1.820	18
1.666	19